Record 1
This entry pairs a crystal structure of CeGa2Rh4 with its theoretical powder diffraction line list. Radiation: Cu Kα (weighted mean of Kα1 and Kα2). Structure: a PBE-relaxed structure.
No peak broadening, texture or thermal motion is included.

Atomic structure:
```
CeGa2Rh4
1.0
0.0000 4.1743 4.9709
2.7862 0.0000 4.9709
2.7862 4.1743 0.0000
Ce Ga Rh
1 2 4
Cartesian
0.0000 0.0000 0.0000
2.7862 4.1743 3.0979
2.7862 4.1743 6.8439
1.3931 2.0871 2.4854
2.7862 2.4460 4.9709
2.7862 5.9025 4.9709
4.1793 6.2614 7.4563
```

The 10 most intense peaks (10° ≤ 2θ ≤ 90°), by intensity:
2θ 37.0, I 100; 2θ 45.6, I 96; 2θ 36.1, I 82; 2θ 43.1, I 80; 2θ 33.2, I 61; 2θ 43.4, I 54; 2θ 37.2, I 53; 2θ 38.9, I 42; 2θ 65.5, I 38; 2θ 58.3, I 30

Record 2
This entry pairs a crystal structure of Ce7GaRh5 with its theoretical powder diffraction line list. Radiation: Cu Kα (weighted mean of Kα1 and Kα2). Structure: a PBE-relaxed structure.
No peak broadening, texture or thermal motion is included.

Atomic structure:
```
Ce7GaRh5
1.0
-2.8981 5.0798 4.9900
2.8981 -5.0798 4.9900
2.8981 5.0798 -4.9900
Ce Ga Rh
7 1 5
Cartesian
0.0000 0.0000 0.0000
2.8981 1.9232 1.3324
0.0000 0.0000 3.6753
0.0000 3.4726 0.8683
0.0000 6.6870 0.8683
0.0000 5.0798 3.1333
0.0000 3.1566 6.3224
0.0000 0.0000 6.8632
1.4351 2.3555 -1.1861
4.3610 2.3555 -1.1861
2.8981 0.0000 3.4642
-1.4630 2.7243 3.8039
1.4630 2.7243 3.8039
```

The 10 most intense peaks (10° ≤ 2θ ≤ 90°), by intensity:
2θ 40.1, I 100; 2θ 35.6, I 99; 2θ 30.6, I 42; 2θ 40.3, I 39; 2θ 39.8, I 37; 2θ 35.8, I 35; 2θ 31.0, I 33; 2θ 36.0, I 32; 2θ 63.7, I 31; 2θ 37.9, I 29

Question: What is the formula in the first record?
Answer: CeGa2Rh4